# NdHoP2Ir2O2
Computed X-ray powder pattern, Cu Kα. Input: a structure optimized by DFT (GGA-PBE).
Neutral-atom scattering factors, no anomalous dispersion.

Cell: 3.9710 3.9710 8.1425 Å, 90.00 90.00 90.00°
Sites, in units of the cell vectors:
Nd: 0.0000 0.0000 0.0000
Ho: 0.5000 0.5000 0.2787
P: 0.0000 0.0000 0.4777
P: 0.5000 0.5000 0.7993
Ir: 0.0000 0.5000 0.6377
Ir: 0.5000 0.0000 0.6377
O: 0.0000 0.5000 0.1516
O: 0.5000 0.0000 0.1516

Principal peaks in the range 10° ≤ 2θ ≤ 90°, by angle:
- d 8.143, 2θ = 10.9°, I 44, (0 0 1)
- d 2.843, 2θ = 31.5°, I 60, (1 0 2)
- d 2.655, 2θ = 33.8°, I 100, (1 1 1)
- d 2.311, 2θ = 39.0°, I 64, (1 1 2)
- d 1.985, 2θ = 45.7°, I 50, (2 0 0)
- d 1.648, 2θ = 55.8°, I 49, (1 1 4)